Starting from a structure optimized by DFT (PBE), the powder diffraction line list of Ac2PCl3 was calculated for λ = 1.5418 Å (Cu Kα).
Lines closer than 0.1° are merged.

Cell and atoms:
```
data_Ac2PCl3
_chemical_formula_sum 'Ac4 P2 Cl6'
_cell_length_a 4.426
_cell_length_b 9.600
_cell_length_c 11.225
_cell_angle_alpha 85.87
_cell_angle_beta 78.65
_cell_angle_gamma 76.71
_space_group_name_H-M_alt 'P -1'
_space_group_IT_number 2
_space_group_name_Hall '-P 1'
loop_
_atom_site_label
_atom_site_fract_x
_atom_site_fract_y
_atom_site_fract_z
Ac1 0.116 0.150 0.119
Ac2 0.250 0.257 0.742
P1 0.300 0.827 0.072
Cl1 0.078 0.559 0.787
Cl2 0.171 0.729 0.429
Cl3 0.429 0.936 0.705
```

Top 10 peaks for 15° ≤ 2θ ≤ 90°, most intense first:
| hkl | 2theta | Rel. int. |
| --- | --- | --- |
| 1 0 3 | 29.11 | 100 |
| 0 2 0 | 18.99 | 58 |
| 1 1 0 | 21.03 | 58 |
| 0 3 1 | 29.60 | 44 |
| 1 -1 0 | 24.95 | 38 |
| 1 3 4 | 42.31 | 36 |
| 1 -3 2 | 41.68 | 34 |
| 0 0 2 | 16.11 | 31 |
| 0 1 -5 | 42.47 | 24 |
| 2 1 1 | 40.78 | 21 |

---

Starting from a structure optimized by DFT (PBE), the powder diffraction line list of Tl5Cd5Hg6 was calculated for λ = 1.5418 Å (Cu Kα).
Lines closer than 0.1° are merged.

Cell and atoms:
```
data_Tl5Cd5Hg6
_chemical_formula_sum 'Tl10 Cd10 Hg12'
_cell_length_a 6.057
_cell_length_b 15.499
_cell_length_c 9.123
_cell_angle_alpha 90.00
_cell_angle_beta 90.00
_cell_angle_gamma 90.00
_space_group_name_H-M_alt 'A m m 2'
_space_group_IT_number 38
_space_group_name_Hall 'A 2 -2'
loop_
_atom_site_label
_atom_site_fract_x
_atom_site_fract_y
_atom_site_fract_z
Tl1 0.000 0.000 0.000
Tl2 0.000 0.112 0.348
Tl3 0.500 0.116 0.109
Cd1 0.251 0.171 0.743
Cd2 0.500 0.000 0.456
Hg1 0.000 0.000 0.644
Hg2 0.000 0.209 0.033
Hg3 0.500 0.000 0.802
Hg4 0.500 0.194 0.442
```

Top 10 peaks for 15° ≤ 2θ ≤ 90°, most intense first:
| hkl | 2theta | Rel. int. |
| --- | --- | --- |
| 1 4 2 | 33.77 | 100 |
| 1 5 1 | 33.94 | 100 |
| 1 1 3 | 33.47 | 96 |
| 2 3 1 | 35.75 | 75 |
| 2 0 0 | 29.49 | 66 |
| 2 5 5 | 67.07 | 34 |
| 2 0 2 | 35.58 | 32 |
| 0 1 3 | 29.94 | 32 |
| 0 3 3 | 34.21 | 30 |
| 0 5 1 | 30.46 | 29 |